# 1
TeHPdRuI: theoretical X-ray diffraction stick pattern (Cu Kα), based on a crystal structure in Alexandria, relaxed with GGA-PBE.
Lines closer than 0.1° are merged.

The 10 most intense peaks (2θ = 5–70°), sorted by position:
| two_theta | I (rel.) |
| --- | --- |
| 10.12 | 81 |
| 20.33 | 40 |
| 30.56 | 100 |
| 31.50 | 44 |
| 32.46 | 76 |
| 36.65 | 44 |
| 36.89 | 46 |
| 39.01 | 42 |
| 46.99 | 61 |
| 52.32 | 36 |

Crystal structure
Cell: 3.1945 3.9801 8.7426 Å, 91.38 90.43 113.66°
Space group P1 (No. 1)
Asymmetric unit:
Te: 0.0000 0.0000 0.0000
H: 0.2066 0.4249 0.7275
Pd: 0.9691 0.9539 0.6240
Ru: 0.6982 0.4034 0.8336
I: 0.6920 0.4118 0.4071

# 2
PmH2I: theoretical X-ray diffraction stick pattern (Cu Kα), based on a crystal structure in Alexandria, relaxed with GGA-PBE.
Lines closer than 0.1° are merged.

The 10 most intense peaks (2θ = 5–70°), sorted by position:
| two_theta | I (rel.) |
| --- | --- |
| 15.41 | 15 |
| 25.91 | 28 |
| 30.28 | 100 |
| 31.10 | 12 |
| 40.91 | 28 |
| 45.69 | 24 |
| 54.82 | 9 |
| 55.80 | 18 |
| 56.31 | 14 |
| 67.97 | 9 |

Crystal structure
Cell: 3.9710 3.9710 11.5025 Å, 90.00 90.00 120.00°
Space group P-3m1 (No. 164)
Asymmetric unit:
Pm: 0.3333 0.6667 0.3567
H: 0.0000 0.0000 0.3705
H: 0.3333 0.6667 0.5592
I: 0.3333 0.6667 0.8346

# 3
H5PtI2: theoretical X-ray diffraction stick pattern (Cu Kα), based on a crystal structure in Alexandria, relaxed with GGA-PBE.
Lines closer than 0.1° are merged.

The 10 most intense peaks (2θ = 5–70°), sorted by position:
| two_theta | I (rel.) |
| --- | --- |
| 17.51 | 47 |
| 17.71 | 43 |
| 20.05 | 100 |
| 29.16 | 32 |
| 30.72 | 41 |
| 35.44 | 30 |
| 35.83 | 23 |
| 36.53 | 22 |
| 37.40 | 20 |
| 42.88 | 25 |

Crystal structure
Cell: 5.4140 5.8206 6.0440 Å, 117.61 107.66 91.16°
Space group P1 (No. 1)
Asymmetric unit:
H: 0.0000 0.0000 0.0000
H: 0.0002 0.1532 0.9994
H: 0.5163 0.9766 0.9562
H: 0.5188 0.1161 0.9579
H: 0.8818 0.8545 0.5437
Pt: 0.7181 0.9425 0.7324
I: 0.3014 0.7212 0.2885
I: 0.7167 0.4175 0.6806

# 4
PuH2I: theoretical X-ray diffraction stick pattern (Cu Kα), based on a crystal structure in Alexandria, relaxed with GGA-PBE.
Lines closer than 0.1° are merged.

The 10 most intense peaks (2θ = 5–70°), sorted by position:
| two_theta | I (rel.) |
| --- | --- |
| 28.01 | 56 |
| 29.52 | 54 |
| 31.74 | 100 |
| 35.32 | 68 |
| 41.14 | 41 |
| 53.79 | 23 |
| 56.20 | 18 |
| 56.40 | 18 |
| 60.06 | 30 |
| 63.27 | 17 |

Crystal structure
Cell: 3.8742 6.0515 5.6000 Å, 90.00 90.00 90.00°
Space group Pmmn (No. 59, origin choice 2)
Asymmetric unit:
Pu: 0.2500 0.2500 0.1193
H: 0.2500 0.5569 0.9017
I: 0.2500 0.7500 0.3879

# 5
Rb2HI: theoretical X-ray diffraction stick pattern (Cu Kα), based on a crystal structure in Alexandria, relaxed with GGA-PBE.
Lines closer than 0.1° are merged.

The 10 most intense peaks (2θ = 5–70°), sorted by position:
| two_theta | I (rel.) |
| --- | --- |
| 10.71 | 27 |
| 22.16 | 48 |
| 23.02 | 29 |
| 26.22 | 89 |
| 28.40 | 100 |
| 32.53 | 21 |
| 33.57 | 27 |
| 38.35 | 58 |
| 48.40 | 22 |
| 51.14 | 35 |

Crystal structure
Cell: 4.6946 4.6946 24.7748 Å, 90.00 90.00 120.00°
Space group R3m (No. 160, hexagonal axes)
Asymmetric unit:
Rb: 0.0000 0.0000 0.0000
Rb: 0.0000 0.0000 0.1960
H: 0.0000 0.0000 0.5989
I: 0.0000 0.0000 0.4308

# 6
Rb3H2I3: theoretical X-ray diffraction stick pattern (Cu Kα), based on a crystal structure in Alexandria, relaxed with GGA-PBE.
Lines closer than 0.1° are merged.

The 10 most intense peaks (2θ = 5–70°), sorted by position:
| two_theta | I (rel.) |
| --- | --- |
| 19.53 | 17 |
| 21.95 | 19 |
| 22.58 | 42 |
| 26.87 | 100 |
| 27.42 | 54 |
| 27.66 | 41 |
| 27.90 | 25 |
| 31.98 | 53 |
| 38.18 | 21 |
| 39.38 | 21 |

Crystal structure
Cell: 4.8163 6.8684 10.3714 Å, 103.72 99.95 104.97°
Space group P-1 (No. 2)
Asymmetric unit:
Rb: 0.0000 0.0000 0.0000
Rb: 0.0974 0.6788 0.3137
H: 0.4957 0.4505 0.4728
I: 0.2724 0.8843 0.6910
I: 0.5000 0.5000 0.0000

Copy entry 5 word for word.
Rb2HI: theoretical X-ray diffraction stick pattern (Cu Kα), based on a crystal structure in Alexandria, relaxed with GGA-PBE.
Lines closer than 0.1° are merged.

The 10 most intense peaks (2θ = 5–70°), sorted by position:
| two_theta | I (rel.) |
| --- | --- |
| 10.71 | 27 |
| 22.16 | 48 |
| 23.02 | 29 |
| 26.22 | 89 |
| 28.40 | 100 |
| 32.53 | 21 |
| 33.57 | 27 |
| 38.35 | 58 |
| 48.40 | 22 |
| 51.14 | 35 |

Crystal structure
Cell: 4.6946 4.6946 24.7748 Å, 90.00 90.00 120.00°
Space group R3m (No. 160, hexagonal axes)
Asymmetric unit:
Rb: 0.0000 0.0000 0.0000
Rb: 0.0000 0.0000 0.1960
H: 0.0000 0.0000 0.5989
I: 0.0000 0.0000 0.4308

> Which formula does entry 3 have?

H5PtI2